Starting from a structure optimized by DFT (PBE), the X-ray diffraction stick pattern of Sm7Tm5 was calculated for Cu Kα (weighted mean of Kα1 and Kα2).
No peak broadening, texture or thermal motion is included.

Structural model:
Cell lengths 9.4582, 9.4582, 13.1143 Å; angles 117.56, 117.56, 21.89 degrees
Atoms (fractional coordinates):
Sm 0.0000 0.0000 0.0000
Sm 0.1392 0.1392 0.7511
Sm 0.1676 0.1676 0.5036
Sm 0.4715 0.4715 0.7503
Sm 0.5285 0.5285 0.2497
Sm 0.8324 0.8324 0.4964
Sm 0.8608 0.8608 0.2489
Tm 0.1942 0.1942 0.2477
Tm 0.3321 0.3321 0.9983
Tm 0.5000 0.5000 0.5000
Tm 0.6679 0.6679 0.0017
Tm 0.8058 0.8058 0.7523

Most intense lines, 2θ from 5° to 70°, in order of falling intensity:
- 32.74°, I 100.0
- 29.80°, I 41.4
- 30.92°, I 40.6
- 60.88°, I 23.8
- 37.18°, I 22.5
- 56.16°, I 21.7
- 51.05°, I 20.2
- 32.83°, I 18.9
- 61.85°, I 12.6
- 60.71°, I 12.0